Starting from a GGA+U-relaxed structure, the powder diffractogram of Li2Mn3TeO8 was simulated for copper Kα.
Peak positions follow from Bragg's law for the DFT cell and can differ from measured ones.

Largest 10 diffraction maxima, sorted by position, 10° ≤ 2θ ≤ 80°:
| 2θ/deg | I/Imax |
| --- | --- |
| 19.1 | 100 |
| 24.7 | 32 |
| 32.0 | 36 |
| 34.7 | 44 |
| 35.4 | 27 |
| 38.8 | 13 |
| 44.1 | 28 |
| 53.9 | 19 |
| 58.4 | 25 |
| 61.1 | 22 |

```
data_Li2Mn3TeO8
_chemical_formula_sum 'Li4 Mn6 Te2 O16'
_cell_length_a 6.0653
_cell_length_b 6.0653
_cell_length_c 9.8948
_cell_angle_alpha 90.00
_cell_angle_beta 90.00
_cell_angle_gamma 120.00
_symmetry_space_group_name_H-M 'P 63 m c'
_symmetry_Int_Tables_number 186
_symmetry_space_group_name_Hall 'P 6c -2c'
loop_
_atom_site_label
_atom_site_fract_x
_atom_site_fract_y
_atom_site_fract_z
Li1 0.0000 0.0000 0.0000
Li2 0.3333 0.6667 0.4304
Mn1 0.1707 0.3414 0.7296
Te1 0.3333 0.6667 0.0013
O1 0.0000 0.0000 0.3085
O2 0.0385 0.5193 0.8756
O3 0.1733 0.3467 0.1076
O4 0.3333 0.6667 0.6326
```